The following is a computed XRD peak list of ErVO3. It was derived from a PBE+U-relaxed structure, using CuKα.
Intensities are scaled so that the largest is 100.

Structure:
```
ErVO3
1.0
4.8852 -2.7887 0.0000
4.8852 2.7887 0.0000
-3.3399 0.0000 8.6224
Er V O
4 4 12
direct
0.0339 0.6750 0.8648 Er
0.3250 0.9661 0.6352 Er
0.6750 0.0339 0.3648 Er
0.9661 0.3250 0.1352 Er
0.0000 0.5000 0.5000 V
0.2855 0.7145 0.2500 V
0.5000 0.0000 0.0000 V
0.7145 0.2855 0.7500 V
0.1258 0.2235 0.8666 O
0.1598 0.7140 0.4347 O
0.2235 0.1258 0.3666 O
0.2860 0.8402 0.0653 O
0.3029 0.3988 0.6821 O
0.3988 0.3029 0.1821 O
0.6012 0.6971 0.8179 O
0.6971 0.6012 0.3179 O
0.7140 0.1598 0.9347 O
0.7765 0.8742 0.6334 O
0.8402 0.2860 0.5653 O
0.8742 0.7765 0.1334 O
```

Principal peaks in the range 2θ = 15–90°, in order of rising 2θ:
2θ 22.71, I = 41; 2θ 22.99, I = 50; 2θ 25.13, I = 20; 2θ 31.82, I = 100; 2θ 32.10, I = 30; 2θ 33.24, I = 94; 2θ 33.38, I = 46; 2θ 33.78, I = 21; 2θ 46.37, I = 26; 2θ 46.98, I = 29